No. 1
Diffraction record for CsRbMg14O15. The powder diffractogram is calculated, not measured: it uses a structure optimized by DFT (GGA-PBE) and a wavelength of 1.5418 Å.

Principal peaks in the range 2θ = 10–90°, low angle first:
2θ = 13.50°, I = 44; 2θ = 25.18°, I = 42; 2θ = 27.20°, I = 37; 2θ = 27.49°, I = 29; 2θ = 28.20°, I = 25; 2θ = 34.71°, I = 100; 2θ = 35.52°, I = 44; 2θ = 39.21°, I = 34; 2θ = 41.35°, I = 22; 2θ = 42.28°, I = 74; 2θ = 43.07°, I = 70; 2θ = 61.95°, I = 37

Crystal structure
```
CsRbMg14O15
1.0
4.200 0.000 0.000
0.000 8.550 0.000
0.000 0.000 10.218
Cs Rb Mg O
1 1 14 15
Direct
0.000 0.000 0.000
0.000 0.500 0.448
0.000 0.000 0.425
0.000 0.243 0.684
0.000 0.284 0.152
0.000 0.500 0.896
0.000 0.716 0.152
0.000 0.757 0.684
0.500 0.000 0.203
0.500 0.000 0.646
0.500 0.240 0.892
0.500 0.258 0.366
0.500 0.500 0.115
0.500 0.500 0.695
0.500 0.742 0.366
0.500 0.760 0.892
0.000 0.000 0.619
0.000 0.209 0.333
0.000 0.264 0.883
0.000 0.500 0.100
0.000 0.500 0.695
0.000 0.736 0.883
0.000 0.791 0.333
0.500 0.000 0.395
0.500 0.000 0.844
0.500 0.222 0.125
0.500 0.264 0.634
0.500 0.500 0.312
0.500 0.500 0.903
0.500 0.736 0.634
0.500 0.778 0.125
```

---

No. 2
Diffraction record for Ce2Si3. The powder diffractogram is calculated, not measured: it uses a structure optimized by DFT (GGA-PBE) and a wavelength of 1.5418 Å.

Principal peaks in the range 2θ = 10–90°, low angle first:
2θ = 22.29°, I = 26; 2θ = 23.70°, I = 27; 2θ = 25.54°, I = 29; 2θ = 28.79°, I = 33; 2θ = 29.91°, I = 22; 2θ = 34.04°, I = 100; 2θ = 38.86°, I = 19; 2θ = 39.73°, I = 20; 2θ = 43.50°, I = 16; 2θ = 46.60°, I = 13; 2θ = 50.75°, I = 20; 2θ = 60.37°, I = 12

Crystal structure
```
Ce2Si3
1.0
3.898 0.000 0.000
0.000 4.161 0.000
0.000 0.000 13.949
Ce Si
4 6
Direct
0.000 0.000 0.000
0.000 0.500 0.253
0.500 0.000 0.753
0.500 0.500 0.500
0.000 0.000 0.426
0.000 0.500 0.665
0.000 0.500 0.832
0.500 0.000 0.165
0.500 0.000 0.332
0.500 0.500 0.926
```

---

No. 3
Diffraction record for K4SrU3O12. The powder diffractogram is calculated, not measured: it uses a structure optimized by DFT (GGA-PBE) and a wavelength of 1.5418 Å.

Principal peaks in the range 2θ = 10–90°, low angle first:
2θ = 14.27°, I = 15; 2θ = 20.24°, I = 69; 2θ = 24.85°, I = 8; 2θ = 28.77°, I = 100; 2θ = 35.43°, I = 9; 2θ = 41.15°, I = 32; 2θ = 46.27°, I = 33; 2θ = 50.98°, I = 41; 2θ = 59.60°, I = 20; 2θ = 63.62°, I = 17; 2θ = 67.51°, I = 19; 2θ = 82.20°, I = 23

Crystal structure
```
K4SrU3O12
1.0
-4.388 4.388 4.388
4.388 -4.388 4.388
4.388 4.388 -4.388
K Sr U O
4 1 3 12
Direct
0.000 0.000 0.500
0.000 0.500 0.000
0.500 0.000 0.000
0.500 0.500 0.500
0.000 0.000 0.000
0.000 0.500 0.500
0.500 0.000 0.500
0.500 0.500 0.000
0.000 0.278 0.278
0.000 0.722 0.722
0.250 0.500 0.750
0.250 0.750 0.500
0.278 0.000 0.278
0.278 0.278 0.000
0.500 0.250 0.750
0.500 0.750 0.250
0.722 0.000 0.722
0.722 0.722 0.000
0.750 0.250 0.500
0.750 0.500 0.250
```